No. 1
Diffraction record for La2Mg3Au2. The X-ray diffraction stick pattern is calculated, not measured: it uses a structure optimized by DFT (GGA-PBE) and CuKα.
No peak broadening, texture or thermal motion is included.

Principal peaks in the range 2θ from 10° to 80°, by angle:
| (hkl) | 2theta | Rel. int. |
| --- | --- | --- |
| 1 1 0 | 21.22 | 95 |
| 0 0 2 | 24.79 | 86 |
| 1 1 -2 | 30.04 | 41 |
| 3 1 0 | 33.56 | 100 |
| 3 1 -2 | 35.12 | 78 |
| 1 1 2 | 35.46 | 56 |
| 4 0 0 | 36.66 | 35 |
| 0 2 0 | 38.91 | 50 |
| 0 2 2 | 46.68 | 32 |
| 3 1 2 | 48.36 | 31 |

Cell and atoms:
```
data_La2Mg3Au2
_cell_length_a 10.5974
_cell_length_b 4.6295
_cell_length_c 7.7634
_cell_angle_alpha 90.00
_cell_angle_beta 112.28
_cell_angle_gamma 90.00
_space_group_name_H-M_alt 'C 1 2/m 1'
_space_group_IT_number 12
_space_group_name_Hall '-C 2y'
loop_
_atom_site_label
_atom_site_fract_x
_atom_site_fract_y
_atom_site_fract_z
La1 0.1389 0.0000 0.2844
Mg1 0.0000 0.5000 0.5000
Mg2 0.1298 0.5000 0.9353
Au1 0.1544 0.0000 0.7154
```

***

No. 2
Diffraction record for CrCo2NiH. The X-ray diffraction stick pattern is calculated, not measured: it uses a structure optimized by DFT (GGA-PBE) and CuKα.
No peak broadening, texture or thermal motion is included.

Principal peaks in the range 2θ from 10° to 80°, by angle:
| (hkl) | 2theta | Rel. int. |
| --- | --- | --- |
| 1 0 1 | 35.30 | 1 |
| 1 1 1 | 43.78 | 100 |
| 0 0 2 | 50.10 | 17 |
| 2 0 0 | 51.45 | 30 |
| 2 0 2 | 74.65 | 18 |
| 2 2 0 | 75.73 | 9 |

Cell and atoms:
```
data_CrCo2NiH
_cell_length_a 3.5524
_cell_length_b 3.5524
_cell_length_c 3.6417
_cell_angle_alpha 90.00
_cell_angle_beta 90.00
_cell_angle_gamma 90.00
_space_group_name_H-M_alt 'P 4/m m m'
_space_group_IT_number 123
_space_group_name_Hall '-P 4 2'
loop_
_atom_site_label
_atom_site_fract_x
_atom_site_fract_y
_atom_site_fract_z
Cr1 0.0000 0.0000 0.0000
Co1 0.0000 0.5000 0.5000
Ni1 0.5000 0.5000 0.0000
H1 0.0000 0.0000 0.5000
```

***

No. 3
Diffraction record for TcRuSeN2. The X-ray diffraction stick pattern is calculated, not measured: it uses a structure optimized by DFT (GGA-PBE) and CuKα.
No peak broadening, texture or thermal motion is included.

Principal peaks in the range 2θ from 10° to 80°, by angle:
| (hkl) | 2theta | Rel. int. |
| --- | --- | --- |
| 1 0 0 | 23.82 | 60 |
| 1 0 1 | 28.77 | 28 |
| 0 0 2 | 32.11 | 86 |
| 1 1 0 | 33.94 | 100 |
| 1 1 1 | 37.69 | 27 |
| 1 0 2 | 40.37 | 29 |
| 1 1 2 | 47.42 | 79 |
| 2 0 0 | 48.76 | 51 |
| 2 0 2 | 59.59 | 54 |
| 1 1 4 | 77.43 | 19 |

Cell and atoms:
```
data_TcRuSeN2
_cell_length_a 3.7350
_cell_length_b 3.7350
_cell_length_c 5.5751
_cell_angle_alpha 90.00
_cell_angle_beta 90.00
_cell_angle_gamma 90.00
_space_group_name_H-M_alt 'P 4/m m m'
_space_group_IT_number 123
_space_group_name_Hall '-P 4 2'
loop_
_atom_site_label
_atom_site_fract_x
_atom_site_fract_y
_atom_site_fract_z
Tc1 0.0000 0.0000 0.0000
Ru1 0.0000 0.0000 0.5000
Se1 0.5000 0.5000 0.5000
N1 0.0000 0.5000 0.0000
```

***

No. 4
Diffraction record for TaNbIr6. The X-ray diffraction stick pattern is calculated, not measured: it uses a structure optimized by DFT (GGA-PBE) and CuKα.
No peak broadening, texture or thermal motion is included.

Principal peaks in the range 2θ from 10° to 80°, by angle:
| (hkl) | 2theta | Rel. int. |
| --- | --- | --- |
| 1 0 0 | 15.95 | 2 |
| 1 1 0 | 22.65 | 2 |
| 1 0 1 | 27.85 | 1 |
| 2 0 0 | 32.24 | 1 |
| 2 0 1 | 39.76 | 100 |
| 2 1 1 | 43.09 | 1 |
| 2 2 0 | 46.20 | 33 |
| 0 0 2 | 46.32 | 16 |
| 3 1 1 | 57.49 | 1 |
| 4 0 0 | 67.47 | 32 |

Cell and atoms:
```
data_TaNbIr6
_cell_length_a 5.5571
_cell_length_b 5.5571
_cell_length_c 3.9207
_cell_angle_alpha 90.00
_cell_angle_beta 90.00
_cell_angle_gamma 90.00
_space_group_name_H-M_alt 'P 4/m m m'
_space_group_IT_number 123
_space_group_name_Hall '-P 4 2'
loop_
_atom_site_label
_atom_site_fract_x
_atom_site_fract_y
_atom_site_fract_z
Ta1 0.0000 0.0000 0.0000
Nb1 0.5000 0.5000 0.0000
Ir1 0.0000 0.5000 0.0000
Ir2 0.2500 0.2500 0.5000
```

***

No. 5
Diffraction record for AcDy7Er2. The X-ray diffraction stick pattern is calculated, not measured: it uses a structure optimized by DFT (GGA-PBE) and CuKα.
No peak broadening, texture or thermal motion is included.

Principal peaks in the range 2θ from 10° to 80°, by angle:
| (hkl) | 2theta | Rel. int. |
| --- | --- | --- |
| 1 -2 2 | 29.88 | 61 |
| 1 2 -1 | 30.44 | 100 |
| -1 1 2 | 31.03 | 68 |
| 2 -1 0 | 31.58 | 57 |
| 0 1 2 | 32.22 | 26 |
| 1 0 2 | 32.98 | 54 |
| 0 2 -3 | 33.48 | 32 |
| 1 1 -3 | 33.86 | 33 |
| 1 -3 0 | 36.55 | 44 |
| 0 4 -3 | 47.48 | 25 |

Cell and atoms:
```
data_AcDy7Er2
_cell_length_a 5.7472
_cell_length_b 8.1737
_cell_length_c 8.3915
_cell_angle_alpha 114.45
_cell_angle_beta 98.68
_cell_angle_gamma 102.52
_space_group_name_H-M_alt 'P -1'
_space_group_IT_number 2
_space_group_name_Hall '-P 1'
loop_
_atom_site_label
_atom_site_fract_x
_atom_site_fract_y
_atom_site_fract_z
Ac1 0.0000 0.0000 0.0000
Dy1 0.0000 0.5000 0.0000
Dy2 0.2544 0.5388 0.4062
Dy3 0.4189 0.6670 0.8560
Dy4 0.4808 0.9686 0.2925
Er1 0.1283 0.2155 0.5551
```

***

No. 6
Diffraction record for Pm3PbAu3. The X-ray diffraction stick pattern is calculated, not measured: it uses a structure optimized by DFT (GGA-PBE) and CuKα.
No peak broadening, texture or thermal motion is included.

Principal peaks in the range 2θ from 10° to 80°, by angle:
| (hkl) | 2theta | Rel. int. |
| --- | --- | --- |
| 1 0 0 | 10.89 | 23 |
| 2 1 0 | 29.07 | 28 |
| 2 1 1 | 34.47 | 100 |
| 0 0 2 | 36.73 | 25 |
| 2 2 1 | 42.74 | 12 |
| 3 1 1 | 44.24 | 11 |
| 2 1 2 | 47.51 | 15 |
| 1 4 0 | 51.53 | 15 |
| 2 1 3 | 64.71 | 16 |
| 1 4 2 | 64.94 | 15 |

Cell and atoms:
```
data_Pm3PbAu3
_cell_length_a 9.3844
_cell_length_b 9.3844
_cell_length_c 4.8931
_cell_angle_alpha 90.00
_cell_angle_beta 90.00
_cell_angle_gamma 120.00
_space_group_name_H-M_alt 'P 63/m'
_space_group_IT_number 176
_space_group_name_Hall '-P 6c'
loop_
_atom_site_label
_atom_site_fract_x
_atom_site_fract_y
_atom_site_fract_z
Pm1 0.0866 0.4157 0.2500
Pb1 0.3333 0.6667 0.7500
Au1 0.0306 0.2035 0.7500
```